No. 1
This entry pairs a crystal structure of Pm2PrEu with its simulated powder diffraction line list. Radiation: Cu Kα (λ = 1.5418 Å). Structure: a cell relaxed with GGA-PBE.
Peak positions follow from Bragg's law for the DFT cell and can differ from measured ones.

Crystal structure
Unit cell a=8.3421 b=8.3421 c=8.3421 alpha=90.00 beta=90.00 gamma=90.00
Space group Fm-3m (No. 225)
Asymmetric unit:
Pm  0.2500  0.2500  0.2500
Pr  0.0000  0.0000  0.0000
Eu  0.0000  0.0000  0.5000

Principal peaks in the range 5 to 70 degrees two-theta, in order of falling intensity:
(2 2 0), 2θ = 30.3°, intensity 100; (4 2 2), 2θ = 53.8°, intensity 40; (4 0 0), 2θ = 43.4°, intensity 19; (4 4 0), 2θ = 63.0°, intensity 12

No. 2
This entry pairs a crystal structure of Ti6FeRh2 with its simulated powder diffraction line list. Radiation: Cu Kα (λ = 1.5418 Å). Structure: a cell relaxed with GGA-PBE.
Peak positions follow from Bragg's law for the DFT cell and can differ from measured ones.

Crystal structure
Unit cell a=4.3225 b=5.9786 c=12.2379 alpha=90.00 beta=90.00 gamma=90.00
Space group Immm (No. 71)
Asymmetric unit:
Ti  0.0000  0.2362  0.0000
Ti  0.0000  0.2570  0.3396
Fe  0.0000  0.5000  0.5000
Rh  0.0000  0.5000  0.1664

Principal peaks in the range 5 to 70 degrees two-theta, in order of falling intensity:
(1 2 3), 2θ = 43.0°, intensity 100; (1 1 0), 2θ = 25.4°, intensity 52; (0 1 3), 2θ = 26.5°, intensity 47; (2 0 0), 2θ = 41.8°, intensity 27; (0 0 6), 2θ = 44.4°, intensity 23; (2 1 3), 2θ = 50.1°, intensity 15; (2 0 6), 2θ = 62.6°, intensity 15; (1 1 6), 2θ = 51.9°, intensity 14; (0 4 0), 2θ = 62.1°, intensity 8; (1 3 0), 2θ = 50.4°, intensity 8